# GaTeS2N
Simulated X-ray diffraction stick pattern, Cu Kα (weighted mean of Kα1 and Kα2). Input: a cell relaxed with PBE.
Intensities are scaled so that the largest is 100.

Peak list (10 most intense, 2θ = 15–90°, sorted by position)
| 2θ/deg | d/Å | intensity |
| --- | --- | --- |
| 25.32 | 3.518 | 48.1 |
| 30.28 | 2.952 | 100.0 |
| 35.36 | 2.539 | 33.0 |
| 36.10 | 2.488 | 70.9 |
| 47.82 | 1.902 | 57.1 |
| 49.74 | 1.833 | 13.5 |
| 51.98 | 1.759 | 23.6 |
| 62.98 | 1.476 | 25.8 |
| 73.30 | 1.292 | 15.9 |
| 74.80 | 1.269 | 15.4 |

abc: 4.976 4.976 3.666
angles: 90.00 90.00 90.00
Sites, in units of the cell vectors:
Ga 0.000 0.000 0.000
Te 0.500 0.500 0.500
S 0.000 0.500 0.000
S 0.500 0.000 0.000
N 0.000 0.000 0.500


# Y6Hg5Ru
Simulated X-ray diffraction stick pattern, Cu Kα (weighted mean of Kα1 and Kα2). Input: a cell relaxed with PBE.
Intensities are scaled so that the largest is 100.

Peak list (10 most intense, 2θ = 15–90°, sorted by position)
| 2θ/deg | d/Å | intensity |
| --- | --- | --- |
| 24.38 | 3.651 | 13.4 |
| 34.43 | 2.605 | 100.0 |
| 34.65 | 2.589 | 25.4 |
| 34.84 | 2.575 | 23.1 |
| 49.96 | 1.826 | 16.6 |
| 61.40 | 1.510 | 9.2 |
| 61.95 | 1.498 | 18.3 |
| 62.21 | 1.492 | 15.3 |
| 72.58 | 1.302 | 10.4 |
| 83.60 | 1.157 | 10.6 |

abc: 8.955 8.955 8.955
angles: 146.39 130.94 60.78
Sites, in units of the cell vectors:
Y 0.079 0.343 0.737
Y 0.229 0.000 0.229
Y 0.394 0.657 0.737
Y 0.606 0.343 0.263
Y 0.771 0.000 0.771
Y 0.921 0.657 0.263
Hg 0.179 0.179 0.000
Hg 0.334 0.834 0.500
Hg 0.500 0.500 0.000
Hg 0.666 0.166 0.500
Hg 0.821 0.821 0.000
Ru 0.000 0.500 0.500